(1)
# AcMg4Sc
Simulated powder diffraction line list, CuKα. Input: DFT lattice parameters and positions (GGA-PBE).
Neutral-atom scattering factors, no anomalous dispersion.

Peak list (10 most intense, 2θ = 15–90°, by angle)
| 2θ/deg | I_rel |
| --- | --- |
| 17.8 | 75 |
| 20.6 | 37 |
| 29.3 | 74 |
| 34.5 | 100 |
| 45.8 | 22 |
| 47.1 | 18 |
| 51.9 | 30 |
| 55.3 | 35 |
| 60.7 | 18 |
| 86.6 | 22 |

Structural model:
```
data_AcMg4Sc
_chemical_formula_sum 'Ac1 Mg4 Sc1'
_cell_length_a 6.104
_cell_length_b 6.104
_cell_length_c 6.104
_cell_angle_alpha 60.00
_cell_angle_beta 60.00
_cell_angle_gamma 60.00
_symmetry_space_group_name_H-M 'P 1'
_symmetry_Int_Tables_number 1
_symmetry_space_group_name_Hall 'P 1'
loop_
_atom_site_label
_atom_site_type_symbol
_atom_site_fract_x
_atom_site_fract_y
_atom_site_fract_z
Ac1 Ac 0.000 0.000 0.000
Mg1 Mg 0.376 0.376 0.376
Mg2 Mg 0.376 0.376 0.872
Mg3 Mg 0.376 0.872 0.376
Mg4 Mg 0.872 0.376 0.376
Sc1 Sc 0.750 0.750 0.750
```

(2)
# AcMg9Sc2
Simulated powder diffraction line list, CuKα. Input: DFT lattice parameters and positions (GGA-PBE).
Neutral-atom scattering factors, no anomalous dispersion.

Peak list (10 most intense, 2θ = 15–90°, by angle)
| 2θ/deg | I_rel |
| --- | --- |
| 17.3 | 51 |
| 18.1 | 39 |
| 21.0 | 32 |
| 22.9 | 37 |
| 27.5 | 47 |
| 29.7 | 51 |
| 30.0 | 34 |
| 34.6 | 38 |
| 35.1 | 100 |
| 56.3 | 25 |

Structural model:
```
data_AcMg9Sc2
_chemical_formula_sum 'Ac1 Mg9 Sc2'
_cell_length_a 10.295
_cell_length_b 10.295
_cell_length_c 10.295
_cell_angle_alpha 33.99
_cell_angle_beta 33.99
_cell_angle_gamma 33.99
_symmetry_space_group_name_H-M 'P 1'
_symmetry_Int_Tables_number 1
_symmetry_space_group_name_Hall 'P 1'
loop_
_atom_site_label
_atom_site_type_symbol
_atom_site_fract_x
_atom_site_fract_y
_atom_site_fract_z
Ac1 Ac 0.000 0.000 0.000
Mg1 Mg 0.080 0.591 0.591
Mg2 Mg 0.334 0.334 0.334
Mg3 Mg 0.409 0.409 0.920
Mg4 Mg 0.409 0.920 0.409
Mg5 Mg 0.500 0.500 0.500
Mg6 Mg 0.591 0.080 0.591
Mg7 Mg 0.591 0.591 0.080
Mg8 Mg 0.666 0.666 0.666
Mg9 Mg 0.920 0.409 0.409
Sc1 Sc 0.148 0.148 0.148
Sc2 Sc 0.852 0.852 0.852
```

(3)
# Ac2Mg3ScSn4
Simulated powder diffraction line list, CuKα. Input: DFT lattice parameters and positions (GGA-PBE).
Neutral-atom scattering factors, no anomalous dispersion.

Peak list (10 most intense, 2θ = 15–90°, by angle)
| 2θ/deg | I_rel |
| --- | --- |
| 23.6 | 22 |
| 26.1 | 20 |
| 28.9 | 54 |
| 30.1 | 100 |
| 37.2 | 53 |
| 41.8 | 28 |
| 47.8 | 28 |
| 53.7 | 23 |
| 57.2 | 23 |
| 62.7 | 25 |

Structural model:
```
data_Ac2Mg3ScSn4
_chemical_formula_sum 'Ac2 Mg3 Sc1 Sn4'
_cell_length_a 4.832
_cell_length_b 4.832
_cell_length_c 12.073
_cell_angle_alpha 90.00
_cell_angle_beta 90.00
_cell_angle_gamma 90.00
_symmetry_space_group_name_H-M 'P 1'
_symmetry_Int_Tables_number 1
_symmetry_space_group_name_Hall 'P 1'
loop_
_atom_site_label
_atom_site_type_symbol
_atom_site_fract_x
_atom_site_fract_y
_atom_site_fract_z
Ac1 Ac 0.000 0.500 0.233
Ac2 Ac 0.500 0.000 0.767
Mg1 Mg 0.000 0.500 0.872
Mg2 Mg 0.500 0.000 0.128
Mg3 Mg 0.500 0.500 0.500
Sc1 Sc 0.000 0.000 0.500
Sn1 Sn 0.000 0.000 0.000
Sn2 Sn 0.000 0.500 0.643
Sn3 Sn 0.500 0.000 0.357
Sn4 Sn 0.500 0.500 0.000
```